This entry pairs a crystal structure of Ba2TlNi2O7 with its simulated X-ray powder pattern. Radiation: Cu Kα (weighted mean of Kα1 and Kα2). Structure: DFT lattice parameters and positions (PBE+U).
Intensities are scaled so that the largest is 100.

Structural model:
```
data_Ba2TlNi2O7
_chemical_formula_sum 'Ba2 Tl1 Ni2 O7'
_cell_length_a 3.689
_cell_length_b 3.689
_cell_length_c 13.932
_cell_angle_alpha 90.00
_cell_angle_beta 90.00
_cell_angle_gamma 90.00
_space_group_name_H-M_alt 'P 4/m m m'
_space_group_IT_number 123
_space_group_name_Hall '-P 4 2'
loop_
_atom_site_label
_atom_site_type_symbol
_atom_site_fract_x
_atom_site_fract_y
_atom_site_fract_z
_atom_site_occupancy
Ba1 Ba 0.000 0.000 0.208 1
Tl1 Tl 0.500 0.500 0.000 1
Ni1 Ni 0.500 0.500 0.385 1
O1 O 0.000 0.000 0.000 1
O2 O 0.000 0.500 0.361 1
O3 O 0.500 0.500 0.148 1
```

Most intense lines, 10 to 90 degrees two-theta, in order of falling intensity:
h k l  two_theta  I (rel.)
1 0 2  27.36  100
1 0 3  30.96  71
1 1 0  34.38  53
1 1 5  47.77  40
0 0 5  32.12  36
2 0 0  49.42  28
2 1 2  57.41  26
2 1 3  59.46  23